1.
Simulated powder X-ray diffraction pattern of KBe2BO3F2 for Cu Kα (λ = 1.5418 Å), from a cell relaxed with GGA-PBE.
Peak positions follow from Bragg's law for the DFT cell and can differ from measured ones.

Peak list (12 most intense, 10 to 90 degrees two-theta, in order of rising 2θ)
- d = 3.782 Å, 2θ 23.52, I 14.5
- d = 3.263 Å, 2θ 27.33, I 36.1
- d = 3.028 Å, 2θ 29.50, I 100.0
- d = 2.264 Å, 2θ 39.82, I 15.6
- d = 2.225 Å, 2θ 40.54, I 27.9
- d = 2.194 Å, 2θ 41.15, I 15.9
- d = 2.106 Å, 2θ 42.94, I 33.2
- d = 2.066 Å, 2θ 43.82, I 10.8
- d = 1.981 Å, 2θ 45.80, I 10.7
- d = 1.793 Å, 2θ 50.92, I 12.6
- d = 1.396 Å, 2θ 67.02, I 10.6
- d = 1.285 Å, 2θ 73.74, I 11.9

Structure:
```
KBe2BO3F2
1.0
2.2255 1.2849 13.0531
-2.2255 1.2849 13.0531
0.0000 -2.5697 13.0531
K Be B O F
2 4 2 6 4
direct
0.0000 0.0000 0.0000 K
0.5000 0.5000 0.5000 K
0.0982 0.0982 0.0982 Be
0.4018 0.4018 0.4018 Be
0.5982 0.5982 0.5982 Be
0.9018 0.9018 0.9018 Be
0.2500 0.2500 0.2500 B
0.7500 0.7500 0.7500 B
0.0597 0.7500 0.4403 O
0.2500 0.5597 0.9403 O
0.4403 0.0597 0.7500 O
0.5597 0.9403 0.2500 O
0.7500 0.4403 0.0597 O
0.9403 0.2500 0.5597 O
0.1375 0.1375 0.1375 F
0.3625 0.3625 0.3625 F
0.6375 0.6375 0.6375 F
0.8625 0.8625 0.8625 F
```

---

2.
Simulated powder X-ray diffraction pattern of KBe2BO3F2 for Cu Kα (λ = 1.5418 Å), from a cell relaxed with GGA-PBE.
Peak positions follow from Bragg's law for the DFT cell and can differ from measured ones.

Peak list (12 most intense, 10 to 90 degrees two-theta, in order of rising 2θ)
- d = 6.491 Å, 2θ 13.64, I 8.5
- d = 3.781 Å, 2θ 23.53, I 14.5
- d = 3.246 Å, 2θ 27.48, I 36.6
- d = 3.022 Å, 2θ 29.56, I 100.0
- d = 2.256 Å, 2θ 39.97, I 15.8
- d = 2.225 Å, 2θ 40.54, I 36.7
- d = 2.105 Å, 2θ 42.96, I 47.9
- d = 2.058 Å, 2θ 43.99, I 10.3
- d = 1.792 Å, 2θ 50.96, I 12.6
- d = 1.738 Å, 2θ 52.66, I 9.0
- d = 1.396 Å, 2θ 67.05, I 10.9
- d = 1.285 Å, 2θ 73.74, I 12.1

Structure:
```
KBe2BO3F2
1.0
2.2254 1.2849 6.4914
-2.2254 1.2849 6.4914
0.0000 -2.5697 6.4914
K Be B O F
1 2 1 3 2
direct
0.0000 0.0000 0.0000 K
0.1966 0.1966 0.1966 Be
0.8034 0.8034 0.8034 Be
0.5000 0.5000 0.5000 B
0.1902 0.5000 0.8098 O
0.5000 0.8098 0.1902 O
0.8098 0.1902 0.5000 O
0.2758 0.2758 0.2758 F
0.7242 0.7242 0.7242 F
```